Diffraction record for TmZrFeNi. The powder XRD pattern is calculated, not measured: it uses a structure optimized by DFT (PBE) and Cu Kα (weighted mean of Kα1 and Kα2).
No peak broadening, texture or thermal motion is included.

Crystal structure
a = 6.4820 Å, b = 6.4820 Å, c = 6.4820 Å
α = 90.00°, β = 90.00°, γ = 90.00°
Element x y z (fractional)
Tm (0.0000, 0.0000, 0.0000)
Tm (0.0000, 0.5000, 0.5000)
Tm (0.5000, 0.0000, 0.5000)
Tm (0.5000, 0.5000, 0.0000)
Zr (0.0000, 0.0000, 0.5000)
Zr (0.0000, 0.5000, 0.0000)
Zr (0.5000, 0.0000, 0.0000)
Zr (0.5000, 0.5000, 0.5000)
Fe (0.2500, 0.2500, 0.2500)
Fe (0.2500, 0.7500, 0.7500)
Fe (0.7500, 0.2500, 0.7500)
Fe (0.7500, 0.7500, 0.2500)
Ni (0.2500, 0.2500, 0.7500)
Ni (0.2500, 0.7500, 0.2500)
Ni (0.7500, 0.2500, 0.2500)
Ni (0.7500, 0.7500, 0.7500)

Principal peaks in the range 2θ from 5° to 70°, in order of rising 2θ:
2theta, d [Å], Rel. int., index
23.78, 3.742, 9, 1 1 1
27.52, 3.241, 16, 2 0 0
39.31, 2.292, 100, 2 2 0
46.46, 1.954, 5, 3 1 1
48.66, 1.871, 5, 2 2 2
56.81, 1.620, 17, 4 0 0
62.45, 1.487, 2, 3 3 1
64.27, 1.449, 6, 4 2 0

=====

Diffraction record for Rb3Cd2Au2. The powder XRD pattern is calculated, not measured: it uses a structure optimized by DFT (PBE) and Cu Kα (weighted mean of Kα1 and Kα2).
No peak broadening, texture or thermal motion is included.

Crystal structure
a = 4.9076 Å, b = 5.1881 Å, c = 21.7704 Å
α = 90.00°, β = 90.00°, γ = 90.00°
Element x y z (fractional)
Rb (0.0000, 0.0000, 0.0000)
Rb (0.0000, 0.5000, 0.3186)
Rb (0.0000, 0.5000, 0.6814)
Rb (0.5000, 0.0000, 0.1814)
Rb (0.5000, 0.0000, 0.8186)
Rb (0.5000, 0.5000, 0.5000)
Cd (0.0000, 0.5000, 0.1294)
Cd (0.0000, 0.5000, 0.8706)
Cd (0.5000, 0.0000, 0.3706)
Cd (0.5000, 0.0000, 0.6294)
Au (0.0000, 0.0000, 0.4355)
Au (0.0000, 0.0000, 0.5645)
Au (0.5000, 0.5000, 0.0645)
Au (0.5000, 0.5000, 0.9355)

Principal peaks in the range 2θ from 5° to 70°, in order of rising 2θ:
2theta, d [Å], Rel. int., index
8.12, 10.885, 74, 0 0 2
17.57, 5.047, 70, 0 1 1
26.30, 3.388, 100, 1 1 2
26.73, 3.335, 61, 0 1 5
34.13, 2.627, 50, 1 0 7
34.58, 2.594, 41, 0 2 0
36.62, 2.454, 35, 2 0 0
49.35, 1.847, 47, 1 2 7